# 1
Cs2NbAgBr6: theoretical XRD peak list (a wavelength of 1.5418 Å), based on DFT lattice parameters and positions (PBE).
Lines closer than 0.1° are merged.

Peak list (6 most intense, 2θ from 10° to 80°, in order of rising 2θ)
22.64 deg, d 3.928, intensity 38
28.57 deg, d 3.124, intensity 62
30.69 deg, d 2.913, intensity 100
34.80 deg, d 2.578, intensity 30
46.23 deg, d 1.964, intensity 56
47.37 deg, d 1.919, intensity 27

Structure:
Cell lengths 7.8552, 7.8552, 39.5156 Å; angles 90.00, 90.00, 120.00 degrees
Space group R-3m (No. 166, hexagonal axes)
Symmetry-distinct sites (fractional):
Cs: 0.0000 0.0000 0.1237
Cs: 0.0000 0.0000 0.2935
Nb: 0.0000 0.0000 0.0000
Nb: 0.0000 0.0000 0.5000
Ag: 0.0000 0.0000 0.4151
Br: 0.0090 0.5045 0.1281
Br: 0.0133 0.5067 0.7058


# 2
Cs3AgPd2Br9: theoretical XRD peak list (a wavelength of 1.5418 Å), based on DFT lattice parameters and positions (PBE).
Lines closer than 0.1° are merged.

Peak list (6 most intense, 2θ from 10° to 80°, in order of rising 2θ)
23.34 deg, d 3.812, intensity 53
28.68 deg, d 3.112, intensity 59
33.24 deg, d 2.695, intensity 100
47.72 deg, d 1.906, intensity 70
56.63 deg, d 1.625, intensity 25
79.51 deg, d 1.205, intensity 31

Structure:
Cell lengths 7.6227, 7.6227, 9.3404 Å; angles 90.00, 90.00, 120.00 degrees
Space group P-3m1 (No. 164)
Symmetry-distinct sites (fractional):
Cs: 0.0000 0.0000 0.0000
Cs: 0.3333 0.6667 0.6650
Ag: 0.0000 0.0000 0.5000
Pd: 0.3333 0.6667 0.1621
Br: 0.0000 0.5000 0.0000
Br: 0.1716 0.3432 0.3247


# 3
Cs3PmAg2Br8: theoretical XRD peak list (a wavelength of 1.5418 Å), based on DFT lattice parameters and positions (PBE).
Lines closer than 0.1° are merged.

Peak list (6 most intense, 2θ from 10° to 80°, in order of rising 2θ)
21.06 deg, d 4.219, intensity 35
22.12 deg, d 4.018, intensity 100
30.73 deg, d 2.910, intensity 91
36.22 deg, d 2.480, intensity 38
42.86 deg, d 2.110, intensity 56
45.13 deg, d 2.009, intensity 51

Structure:
Cell lengths 8.0368, 8.0368, 10.6105 Å; angles 90.00, 90.00, 120.00 degrees
Space group P-3m1 (No. 164)
Symmetry-distinct sites (fractional):
Cs: 0.0000 0.0000 0.0000
Cs: 0.3333 0.6667 0.6298
Pm: 0.0000 0.0000 0.5000
Ag: 0.3333 0.6667 0.1920
Br: 0.1653 0.3306 0.3388
Br: 0.3333 0.6667 0.9536


# 4
CsPrAgBr5: theoretical XRD peak list (a wavelength of 1.5418 Å), based on DFT lattice parameters and positions (PBE).
Lines closer than 0.1° are merged.

Peak list (6 most intense, 2θ from 10° to 80°, in order of rising 2θ)
17.65 deg, d 5.024, intensity 100
19.65 deg, d 4.517, intensity 66
21.72 deg, d 4.092, intensity 42
22.18 deg, d 4.008, intensity 45
25.11 deg, d 3.547, intensity 63
35.95 deg, d 2.498, intensity 44

Structure:
Cell lengths 9.7089, 13.4169, 11.0970 Å; angles 90.00, 111.48, 90.00 degrees
Space group C2/c (No. 15)
Symmetry-distinct sites (fractional):
Cs: 0.0000 0.1541 0.2500
Pr: 0.0000 0.5000 0.0000
Ag: 0.0000 0.1883 0.7500
Br: 0.0000 0.4275 0.2500
Br: 0.1020 0.2994 0.5953
Br: 0.1931 0.0639 0.9327


# 5
CsPrAgBr6: theoretical XRD peak list (a wavelength of 1.5418 Å), based on DFT lattice parameters and positions (PBE).
Lines closer than 0.1° are merged.

Peak list (6 most intense, 2θ from 10° to 80°, in order of rising 2θ)
10.88 deg, d 8.129, intensity 100
16.65 deg, d 5.326, intensity 90
17.96 deg, d 4.938, intensity 79
18.13 deg, d 4.892, intensity 86
30.23 deg, d 2.957, intensity 80
33.73 deg, d 2.657, intensity 70

Structure:
Cell lengths 7.2603, 7.2933, 8.1633 Å; angles 92.62, 93.05, 114.66 degrees
Space group P1 (No. 1)
Symmetry-distinct sites (fractional):
Cs: 0.0000 0.0000 0.0000
Pr: 0.3400 0.6657 0.5016
Ag: 0.6914 0.3176 0.4966
Br: 0.0206 0.3467 0.6732
Br: 0.0255 0.6040 0.2536
Br: 0.4013 0.9722 0.7523
Br: 0.4190 0.3596 0.2938
Br: 0.6479 0.5818 0.7049
Br: 0.6511 0.9840 0.3240


# 6
CsPu2Ag2Br7: theoretical XRD peak list (a wavelength of 1.5418 Å), based on DFT lattice parameters and positions (PBE).
Lines closer than 0.1° are merged.

Peak list (6 most intense, 2θ from 10° to 80°, in order of rising 2θ)
15.55 deg, d 5.698, intensity 37
18.99 deg, d 4.674, intensity 50
30.41 deg, d 2.940, intensity 100
30.96 deg, d 2.888, intensity 45
43.54 deg, d 2.079, intensity 35
43.95 deg, d 2.060, intensity 70

Structure:
Cell lengths 5.8751, 23.1069, 5.8846 Å; angles 90.00, 90.00, 90.00 degrees
Space group Imm2 (No. 44)
Symmetry-distinct sites (fractional):
Cs: 0.0000 0.0000 0.0000
Pu: 0.0000 0.3701 0.9871
Ag: 0.0000 0.2495 0.5528
Br: 0.0000 0.1135 0.5070
Br: 0.0000 0.2437 0.0503
Br: 0.0000 0.3865 0.4910
Br: 0.0000 0.5000 0.9910